[1]
Diffraction record for RbCd3Au2. The powder diffraction line list is theoretical, not measured: it uses a GGA-PBE-relaxed structure and Cu Kα.
Intensities are scaled so that the largest is 100.

Largest 10 diffraction maxima, in order of rising 2θ, 2θ from 10° to 80°:
Position (°2θ)	d/Å	I (rel.)
10.28	8.607	45
18.54	4.787	25
26.91	3.313	34
27.76	3.214	39
30.61	2.920	30
34.17	2.624	59
35.60	2.522	28
38.33	2.348	100
39.30	2.292	31
42.87	2.109	38

Atomic structure:
Cell: 8.631 8.631 9.450 Å, 113.41 113.41 31.55°
Positions (direct):
1 Rb 0.158 0.158 0.084
2 Rb 0.842 0.842 0.916
3 Cd 0.018 0.018 0.333
4 Cd 0.325 0.325 0.566
5 Cd 0.404 0.404 0.318
6 Cd 0.596 0.596 0.682
7 Cd 0.675 0.675 0.434
8 Cd 0.982 0.982 0.667
9 Au 0.171 0.171 0.623
10 Au 0.487 0.487 0.848
11 Au 0.513 0.513 0.152
12 Au 0.829 0.829 0.377

---

[2]
Diffraction record for Na3Zn9Au2. The powder diffraction line list is theoretical, not measured: it uses a GGA-PBE-relaxed structure and Cu Kα.
Intensities are scaled so that the largest is 100.

Largest 10 diffraction maxima, in order of rising 2θ, 2θ from 10° to 80°:
Position (°2θ)	d/Å	I (rel.)
11.74	7.536	42
13.74	6.445	49
19.11	4.645	79
22.80	3.900	33
35.06	2.559	100
38.24	2.353	77
40.61	2.221	54
41.25	2.188	66
45.25	2.004	47
45.61	1.989	50

Atomic structure:
Cell: 8.240 8.240 8.240 Å, 149.19 111.38 77.09°
Positions (direct):
1 Na 0.000 0.000 0.000
2 Na 0.304 0.304 0.000
3 Na 0.696 0.696 0.000
4 Zn 0.033 0.676 0.358
5 Zn 0.152 0.873 0.279
6 Zn 0.318 0.676 0.642
7 Zn 0.407 0.127 0.279
8 Zn 0.500 0.000 0.500
9 Zn 0.593 0.873 0.721
10 Zn 0.682 0.324 0.358
11 Zn 0.848 0.127 0.721
12 Zn 0.967 0.324 0.642
13 Au 0.304 0.500 0.804
14 Au 0.696 0.500 0.196

---

[3]
Diffraction record for CaPm6Y3. The powder diffraction line list is theoretical, not measured: it uses a GGA-PBE-relaxed structure and Cu Kα.
Intensities are scaled so that the largest is 100.

Largest 10 diffraction maxima, in order of rising 2θ, 2θ from 10° to 80°:
Position (°2θ)	d/Å	I (rel.)
27.62	3.229	32
29.94	2.985	43
30.12	2.967	69
30.19	2.960	100
30.88	2.895	100
31.59	2.833	95
31.88	2.807	54
32.65	2.743	57
33.75	2.656	29
60.49	1.531	30

Atomic structure:
Cell: 12.206 3.577 16.363 Å, 90.00 104.07 90.00°
Positions (direct):
1 Ca 0.132 0.250 0.062
2 Ca 0.868 0.750 0.938
3 Pm 0.113 0.250 0.460
4 Pm 0.118 0.750 0.853
5 Pm 0.153 0.750 0.273
6 Pm 0.340 0.750 0.614
7 Pm 0.363 0.250 0.820
8 Pm 0.380 0.750 0.019
9 Pm 0.620 0.250 0.981
10 Pm 0.637 0.750 0.180
11 Pm 0.660 0.250 0.386
12 Pm 0.847 0.250 0.727
13 Pm 0.882 0.250 0.147
14 Pm 0.887 0.750 0.540
15 Y 0.113 0.250 0.670
16 Y 0.383 0.250 0.428
17 Y 0.395 0.250 0.217
18 Y 0.605 0.750 0.783
19 Y 0.617 0.750 0.572
20 Y 0.887 0.750 0.330

---

[4]
Diffraction record for TmSc5In6. The powder diffraction line list is theoretical, not measured: it uses a GGA-PBE-relaxed structure and Cu Kα.
Intensities are scaled so that the largest is 100.

Largest 10 diffraction maxima, in order of rising 2θ, 2θ from 10° to 80°:
Position (°2θ)	d/Å	I (rel.)
20.39	4.355	9
34.44	2.604	100
39.19	2.299	35
41.50	2.176	15
56.63	1.625	11
58.40	1.580	21
67.95	1.379	13
68.02	1.378	13
71.17	1.325	11
72.60	1.302	11

Atomic structure:
Cell: 8.469 8.469 8.469 Å, 148.49 118.15 71.07°
Positions (direct):
1 Tm 0.000 0.000 0.000
2 Sc 0.169 0.669 0.500
3 Sc 0.333 0.333 0.000
4 Sc 0.500 0.000 0.500
5 Sc 0.667 0.667 0.000
6 Sc 0.831 0.331 0.500
7 In 0.084 0.832 0.252
8 In 0.254 0.500 0.754
9 In 0.420 0.168 0.252
10 In 0.580 0.832 0.748
11 In 0.746 0.500 0.246
12 In 0.916 0.168 0.748

---

[5]
Diffraction record for Pm4Er5Sc3. The powder diffraction line list is theoretical, not measured: it uses a GGA-PBE-relaxed structure and Cu Kα.
Intensities are scaled so that the largest is 100.

Largest 10 diffraction maxima, in order of rising 2θ, 2θ from 10° to 80°:
Position (°2θ)	d/Å	I (rel.)
29.28	3.050	29
29.86	2.992	48
30.29	2.951	46
31.14	2.872	100
31.99	2.797	39
32.41	2.762	90
33.04	2.711	64
33.39	2.684	35
34.36	2.610	49
45.25	2.004	30

Atomic structure:
Cell: 8.446 8.446 9.185 Å, 115.72 115.72 39.76°
Positions (direct):
1 Pm 0.086 0.086 0.449
2 Pm 0.218 0.218 0.883
3 Pm 0.782 0.782 0.117
4 Pm 0.914 0.914 0.551
5 Er 0.000 0.000 0.000
6 Er 0.328 0.328 0.626
7 Er 0.430 0.430 0.288
8 Er 0.570 0.570 0.712
9 Er 0.672 0.672 0.374
10 Sc 0.219 0.219 0.241
11 Sc 0.500 0.500 0.000
12 Sc 0.781 0.781 0.759

---

Repeat the third record exactly.
Diffraction record for CaPm6Y3. The powder diffraction line list is theoretical, not measured: it uses a GGA-PBE-relaxed structure and Cu Kα.
Intensities are scaled so that the largest is 100.

Largest 10 diffraction maxima, in order of rising 2θ, 2θ from 10° to 80°:
Position (°2θ)	d/Å	I (rel.)
27.62	3.229	32
29.94	2.985	43
30.12	2.967	69
30.19	2.960	100
30.88	2.895	100
31.59	2.833	95
31.88	2.807	54
32.65	2.743	57
33.75	2.656	29
60.49	1.531	30

Atomic structure:
Cell: 12.206 3.577 16.363 Å, 90.00 104.07 90.00°
Positions (direct):
1 Ca 0.132 0.250 0.062
2 Ca 0.868 0.750 0.938
3 Pm 0.113 0.250 0.460
4 Pm 0.118 0.750 0.853
5 Pm 0.153 0.750 0.273
6 Pm 0.340 0.750 0.614
7 Pm 0.363 0.250 0.820
8 Pm 0.380 0.750 0.019
9 Pm 0.620 0.250 0.981
10 Pm 0.637 0.750 0.180
11 Pm 0.660 0.250 0.386
12 Pm 0.847 0.250 0.727
13 Pm 0.882 0.250 0.147
14 Pm 0.887 0.750 0.540
15 Y 0.113 0.250 0.670
16 Y 0.383 0.250 0.428
17 Y 0.395 0.250 0.217
18 Y 0.605 0.750 0.783
19 Y 0.617 0.750 0.572
20 Y 0.887 0.750 0.330

---

Question: Number 5 is which compound?
Answer: Pm4Er5Sc3

---

Question: Number 5 is which compound?
Answer: Pm4Er5Sc3